For Dy2MnZn3Cu12, the GGA-PBE geometry in Alexandria gives the theoretical X-ray powder pattern in this record (Cu Kα (λ = 1.5418 Å)).
Kinematic intensities with the Lorentz-polarization factor, no thermal factor.

Top 12 peaks for 15 to 90 degrees two-theta, in order of rising 2θ:
d 2.904, rel. 100
d 2.645, rel. 42
d 2.608, rel. 26
d 2.532, rel. 45
d 2.472, rel. 74
d 2.400, rel. 66
d 2.221, rel. 50
d 2.085, rel. 71
d 1.987, rel. 34
d 1.738, rel. 31
d 1.648, rel. 27
d 1.535, rel. 51

Cell and atoms:
```
18
Lattice="3.0692 1.7720 8.9640 -3.0692 1.7720 8.9640 0.0000 -3.5440 8.9640" Properties=species:S:1:pos:R:3 pbc="T T T"
Dy 0.0000 0.0000 3.9477
Dy 0.0000 0.0000 22.9444
Mn 0.0000 0.0000 13.4460
Zn -1.5346 -0.8860 8.9640
Zn -1.5346 0.8860 17.9280
Zn 0.0000 1.7720 8.9640
Cu 0.0000 -2.1688 7.6484
Cu -1.8783 1.0844 7.6484
Cu -1.4320 -0.8268 11.6297
Cu -1.8783 -1.0844 19.2437
Cu 0.0000 -1.6535 15.2623
Cu -1.4320 0.8268 15.2623
Cu 1.4320 -0.8268 11.6297
Cu 0.0000 1.6535 11.6297
Cu 1.8783 1.0844 7.6484
Cu 1.4320 0.8268 15.2624
Cu 1.8783 -1.0844 19.2436
Cu 0.0000 2.1688 19.2436
```